Simulated powder X-ray diffraction pattern
Compound: Na
Radiation: copper Kα
Structure: a cell relaxed with GGA-PBE
Neutral-atom scattering factors, no anomalous dispersion.

Atomic structure:
```
Na
1.0
1.8547 1.0708 9.3091
-1.8547 1.0708 9.3091
0.0000 -2.1417 9.3091
Na
3
Direct
0.0000 0.0000 0.0000 Na
0.2222 0.2222 0.2222 Na
0.7778 0.7778 0.7778 Na
```

The 8 most intense peaks (2θ from 10° to 90°), sorted by position:
2θ (°), I_rel
27.96, 36
28.77, 55
30.63, 100
32.14, 88
49.12, 35
51.15, 22
54.12, 18
57.93, 40


Simulated powder X-ray diffraction pattern
Compound: Na
Radiation: copper Kα
Structure: a cell relaxed with GGA-PBE
Neutral-atom scattering factors, no anomalous dispersion.

Atomic structure:
```
Na
1.0
-2.1001 2.1001 2.1001
2.1001 -2.1001 2.1001
2.1001 2.1001 -2.1001
Na
1
Direct
0.0000 0.0000 0.0000 Na
```

The 7 most intense peaks (2θ from 10° to 90°), sorted by position:
2θ (°), I_rel
30.09, 100
43.07, 18
53.43, 36
62.55, 10
70.96, 13
78.96, 3
86.75, 14


Simulated powder X-ray diffraction pattern
Compound: Na
Radiation: copper Kα
Structure: a cell relaxed with GGA-PBE
Neutral-atom scattering factors, no anomalous dispersion.

Atomic structure:
```
Na
1.0
-6.5795 6.5795 1.7796
6.5795 -6.5795 1.7796
6.5795 6.5795 -1.7796
Na
8
Direct
0.0959 0.3572 0.4531 Na
0.1005 0.8386 0.9391 Na
0.1614 0.1005 0.2619 Na
0.3572 0.9041 0.2614 Na
0.6428 0.0959 0.7386 Na
0.8386 0.8995 0.7381 Na
0.8995 0.1614 0.0609 Na
0.9041 0.6428 0.5469 Na
```

The 8 most intense peaks (2θ from 10° to 90°), sorted by position:
2θ (°), I_rel
25.93, 56
27.11, 100
29.33, 47
30.38, 85
35.22, 94
37.86, 32
57.16, 27
60.83, 36


Simulated powder X-ray diffraction pattern
Compound: Na
Radiation: copper Kα
Structure: a cell relaxed with GGA-PBE
Neutral-atom scattering factors, no anomalous dispersion.

Atomic structure:
```
Na
1.0
3.4122 0.0000 0.0000
0.0000 3.4122 0.0000
0.0000 0.0000 3.4122
Na
1
Direct
0.0000 0.0000 0.0000 Na
```

The 8 most intense peaks (2θ from 10° to 90°), sorted by position:
2θ (°), I_rel
26.11, 100
37.27, 76
46.07, 27
53.73, 12
60.69, 32
67.20, 22
79.44, 6
85.34, 12


Simulated powder X-ray diffraction pattern
Compound: Na
Radiation: copper Kα
Structure: a cell relaxed with GGA-PBE
Neutral-atom scattering factors, no anomalous dispersion.

Atomic structure:
```
Na
1.0
8.5553 0.0000 0.0000
0.0000 4.5027 0.0000
0.0000 0.0000 8.1757
Na
8
Direct
0.0324 0.2500 0.1628 Na
0.1621 0.2500 0.5741 Na
0.3379 0.7500 0.0741 Na
0.4676 0.7500 0.6628 Na
0.5324 0.2500 0.3372 Na
0.6621 0.2500 0.9259 Na
0.8379 0.7500 0.4259 Na
0.9676 0.7500 0.8372 Na
```

The 8 most intense peaks (2θ from 10° to 90°), sorted by position:
2θ (°), I_rel
24.13, 44
24.86, 47
28.79, 63
30.84, 61
31.35, 100
33.27, 44
34.54, 26
40.05, 33


Simulated powder X-ray diffraction pattern
Compound: Na
Radiation: copper Kα
Structure: a cell relaxed with GGA-PBE
Neutral-atom scattering factors, no anomalous dispersion.

Atomic structure:
```
Na
1.0
3.0620 -6.5090 0.0000
3.0620 6.5090 0.0000
0.0000 0.0000 3.8006
Na
4
Direct
0.1313 0.8687 0.9983 Na
0.3687 0.6313 0.4983 Na
0.6313 0.3687 0.5017 Na
0.8687 0.1313 0.0017 Na
```

The 8 most intense peaks (2θ from 10° to 90°), sorted by position:
2θ (°), I_rel
27.40, 59
28.48, 100
29.16, 51
34.62, 79
40.45, 40
44.71, 18
55.30, 18
57.16, 20


Simulated powder X-ray diffraction pattern
Compound: Na7NbO6
Radiation: copper Kα
Structure: a cell relaxed with GGA-PBE
Neutral-atom scattering factors, no anomalous dispersion.

Atomic structure:
```
Na7NbO6
1.0
3.2462 1.8742 5.2088
-3.2462 1.8742 5.2088
0.0000 -3.7484 5.2088
Na Nb O
7 1 6
Direct
0.0000 0.0000 0.0000 Na
0.0549 0.4613 0.8478 Na
0.3034 0.8298 0.5948 Na
0.4613 0.8478 0.0549 Na
0.5948 0.3034 0.8298 Na
0.8298 0.5948 0.3034 Na
0.8478 0.0549 0.4613 Na
0.3496 0.3496 0.3496 Nb
0.0258 0.2358 0.5615 O
0.1633 0.6834 0.4212 O
0.2358 0.5615 0.0258 O
0.4212 0.1633 0.6834 O
0.5615 0.0258 0.2358 O
0.6834 0.4212 0.1633 O
```

The 8 most intense peaks (2θ from 10° to 90°), sorted by position:
2θ (°), I_rel
16.76, 100
19.45, 68
27.81, 32
32.50, 86
32.79, 29
44.16, 34
44.61, 81
48.58, 38


Simulated powder X-ray diffraction pattern
Compound: Na5NbO5
Radiation: copper Kα
Structure: a cell relaxed with GGA-PBE
Neutral-atom scattering factors, no anomalous dispersion.

Atomic structure:
```
Na5NbO5
1.0
3.1810 -5.1778 0.0000
3.1810 5.1778 0.0000
-2.8844 0.0000 9.7250
Na Nb O
10 2 10
Direct
0.0564 0.2843 0.5509 Na
0.1675 0.8325 0.7500 Na
0.1786 0.4962 0.9229 Na
0.2843 0.0564 0.0509 Na
0.4962 0.1786 0.4229 Na
0.5038 0.8214 0.5771 Na
0.7157 0.9436 0.9491 Na
0.8214 0.5038 0.0771 Na
0.8325 0.1675 0.2500 Na
0.9436 0.7157 0.4491 Na
0.4077 0.5923 0.2500 Nb
0.5923 0.4077 0.7500 Nb
0.0954 0.3108 0.1041 O
0.1957 0.5380 0.3813 O
0.3108 0.0954 0.6041 O
0.4069 0.5931 0.7500 O
0.4620 0.8043 0.1187 O
0.5380 0.1957 0.8813 O
0.5931 0.4069 0.2500 O
0.6892 0.9046 0.3959 O
0.8043 0.4620 0.6187 O
0.9046 0.6892 0.8959 O
```

The 8 most intense peaks (2θ from 10° to 90°), sorted by position:
2θ (°), I_rel
16.87, 98
19.42, 100
21.65, 87
32.59, 43
33.06, 46
34.64, 60
39.07, 69
40.33, 50


Simulated powder X-ray diffraction pattern
Compound: NaNb4O7
Radiation: copper Kα
Structure: a cell relaxed with GGA-PBE
Neutral-atom scattering factors, no anomalous dispersion.

Atomic structure:
```
NaNb4O7
1.0
7.6401 -4.0002 0.0000
7.6401 4.0002 0.0000
0.0000 0.0000 6.2981
Na Nb O
2 8 14
Direct
0.2025 0.7975 0.7500 Na
0.7975 0.2025 0.2500 Na
0.0879 0.6669 0.2500 Nb
0.3132 0.3132 0.0000 Nb
0.3132 0.3132 0.5000 Nb
0.3331 0.9121 0.2500 Nb
0.6669 0.0879 0.7500 Nb
0.6868 0.6868 0.0000 Nb
0.6868 0.6868 0.5000 Nb
0.9121 0.3331 0.7500 Nb
0.1193 0.8807 0.2500 O
0.1668 0.2782 0.7500 O
0.1997 0.5822 0.5350 O
0.1997 0.5822 0.9650 O
0.2782 0.1668 0.2500 O
0.4178 0.8003 0.5350 O
0.4178 0.8003 0.9650 O
0.5822 0.1997 0.0350 O
0.5822 0.1997 0.4650 O
0.7218 0.8332 0.7500 O
0.8003 0.4178 0.0350 O
0.8003 0.4178 0.4650 O
0.8332 0.7218 0.2500 O
0.8807 0.1193 0.7500 O
```

The 8 most intense peaks (2θ from 10° to 90°), sorted by position:
2θ (°), I_rel
11.58, 45
18.85, 69
20.67, 57
25.11, 100
31.08, 35
35.33, 53
36.31, 48
54.17, 37


Simulated powder X-ray diffraction pattern
Compound: NaNb2O6
Radiation: copper Kα
Structure: a cell relaxed with GGA-PBE
Neutral-atom scattering factors, no anomalous dispersion.

Atomic structure:
```
NaNb2O6
1.0
5.4271 0.0000 0.0000
-2.7136 4.7000 0.0000
0.0000 0.0000 5.0479
Na Nb O
1 2 6
Direct
0.0000 0.0000 0.0000 Na
0.3333 0.6667 0.5000 Nb
0.6667 0.3333 0.5000 Nb
0.0000 0.3857 0.7183 O
0.0000 0.6143 0.2817 O
0.3857 0.0000 0.7183 O
0.3857 0.3857 0.2817 O
0.6143 0.0000 0.2817 O
0.6143 0.6143 0.7183 O
```

The 8 most intense peaks (2θ from 10° to 90°), sorted by position:
2θ (°), I_rel
17.57, 100
18.88, 57
25.90, 100
33.01, 49
37.63, 72
49.31, 70
54.78, 24
58.95, 23


Simulated powder X-ray diffraction pattern
Compound: Na3Nb6O11
Radiation: copper Kα
Structure: a cell relaxed with GGA-PBE
Neutral-atom scattering factors, no anomalous dispersion.

Atomic structure:
```
Na3Nb6O11
1.0
6.1329 0.0000 0.0000
-3.0665 5.3113 0.0000
0.0000 0.0000 8.2284
Na Nb O
3 6 11
Direct
0.0000 0.0000 0.0000 Na
0.3333 0.6667 0.0687 Na
0.6667 0.3333 0.9313 Na
0.1588 0.3176 0.6484 Nb
0.1588 0.8412 0.6484 Nb
0.3176 0.1588 0.3516 Nb
0.6824 0.8412 0.6484 Nb
0.8412 0.1588 0.3516 Nb
0.8412 0.6824 0.3516 Nb
0.0000 0.5000 0.5000 O
0.1537 0.3074 0.2127 O
0.1537 0.8463 0.2127 O
0.3074 0.1537 0.7873 O
0.3333 0.6667 0.7886 O
0.5000 0.0000 0.5000 O
0.5000 0.5000 0.5000 O
0.6667 0.3333 0.2114 O
0.6926 0.8463 0.2127 O
0.8463 0.1537 0.7873 O
0.8463 0.6926 0.7873 O
```

The 8 most intense peaks (2θ from 10° to 90°), sorted by position:
2θ (°), I_rel
10.75, 100
19.90, 25
27.42, 25
35.52, 40
40.43, 75
47.67, 24
56.59, 25
60.37, 24


Simulated powder X-ray diffraction pattern
Compound: Na2Nb4O7
Radiation: copper Kα
Structure: a cell relaxed with GGA-PBE
Neutral-atom scattering factors, no anomalous dispersion.

Atomic structure:
```
Na2Nb4O7
1.0
5.0646 0.0000 0.0000
-2.5323 4.3861 0.0000
0.0000 0.0000 6.9862
Na Nb O
2 4 7
Direct
0.3333 0.6667 0.0000 Na
0.6667 0.3333 0.0000 Na
0.0000 0.0000 0.2891 Nb
0.0000 0.0000 0.7109 Nb
0.3333 0.6667 0.5000 Nb
0.6667 0.3333 0.5000 Nb
0.0000 0.0000 0.0000 O
0.0000 0.3946 0.2741 O
0.0000 0.6054 0.7259 O
0.3946 0.0000 0.2741 O
0.3946 0.3946 0.7259 O
0.6054 0.0000 0.7259 O
0.6054 0.6054 0.2741 O
```

The 8 most intense peaks (2θ from 10° to 90°), sorted by position:
2θ (°), I_rel
12.67, 89
32.78, 98
35.45, 100
37.79, 33
44.03, 28
49.05, 48
61.96, 34
63.65, 26


Number 8 is which compound? Na5NbO5


Please write out number 2 again, unchanged.
Simulated powder X-ray diffraction pattern
Compound: Na
Radiation: copper Kα
Structure: a cell relaxed with GGA-PBE
Neutral-atom scattering factors, no anomalous dispersion.

Atomic structure:
```
Na
1.0
-2.1001 2.1001 2.1001
2.1001 -2.1001 2.1001
2.1001 2.1001 -2.1001
Na
1
Direct
0.0000 0.0000 0.0000 Na
```

The 7 most intense peaks (2θ from 10° to 90°), sorted by position:
2θ (°), I_rel
30.09, 100
43.07, 18
53.43, 36
62.55, 10
70.96, 13
78.96, 3
86.75, 14


What is the formula in the eighth record? Na5NbO5